# 1
The following is a theoretical X-ray diffraction stick pattern of RbTlF4. It was derived from a cell relaxed with GGA-PBE, using Cu Kα, 1.54184 Å.
Intensities are scaled so that the largest is 100.

Most intense lines, 2θ = 10–80°, by intensity:
24.95°, I 100; 25.15°, I 85; 29.66°, I 49; 40.99°, I 44; 13.72°, I 43; 27.64°, I 33; 49.77°, I 29; 20.97°, I 25; 47.28°, I 21; 20.74°, I 20; 47.39°, I 19; 50.08°, I 18

```
RbTlF4
1.0
6.4544 0.0000 0.0000
0.0000 8.4723 0.0000
0.0000 0.0000 8.5640
Rb Tl F
4 4 16
direct
0.0092 0.1899 0.2500 Rb
0.0092 0.3101 0.7500 Rb
0.9908 0.6899 0.2500 Rb
0.9908 0.8101 0.7500 Rb
0.5000 0.0000 0.0000 Tl
0.5000 0.0000 0.5000 Tl
0.5000 0.5000 0.0000 Tl
0.5000 0.5000 0.5000 Tl
0.2008 0.5757 0.5650 F
0.2008 0.5757 0.9350 F
0.2008 0.9243 0.0650 F
0.2008 0.9243 0.4350 F
0.3669 0.2500 0.0000 F
0.3669 0.2500 0.5000 F
0.3889 0.5246 0.2500 F
0.3889 0.9754 0.7500 F
0.6111 0.0246 0.2500 F
0.6111 0.4754 0.7500 F
0.6331 0.7500 0.0000 F
0.6331 0.7500 0.5000 F
0.7992 0.0757 0.5650 F
0.7992 0.0757 0.9350 F
0.7992 0.4243 0.0650 F
0.7992 0.4243 0.4350 F
```


# 2
The following is a theoretical X-ray diffraction stick pattern of Rb2YTlF6. It was derived from a cell relaxed with GGA-PBE, using Cu Kα, 1.54184 Å.
Intensities are scaled so that the largest is 100.

Most intense lines, 2θ = 10–80°, by intensity:
25.93°, I 100; 45.73°, I 42; 36.99°, I 35; 72.82°, I 23; 53.32°, I 23; 60.22°, I 21; 18.25°, I 16; 30.50°, I 9; 15.79°, I 8; 66.67°, I 7; 41.55°, I 7; 40.45°, I 6

```
Rb2YTlF6
1.0
0.0000 4.8599 4.8599
4.8599 0.0000 4.8599
4.8599 4.8599 0.0000
Rb Y Tl F
2 1 1 6
direct
0.2500 0.2500 0.2500 Rb
0.7500 0.7500 0.7500 Rb
0.0000 0.0000 0.0000 Y
0.5000 0.5000 0.5000 Tl
0.2250 0.2250 0.7750 F
0.2250 0.7750 0.2250 F
0.2250 0.7750 0.7750 F
0.7750 0.2250 0.2250 F
0.7750 0.2250 0.7750 F
0.7750 0.7750 0.2250 F
```